The following is a computed XRD peak list of SrEr2Pt9. It was derived from a cell relaxed with PBE, using Cu Kα (λ = 1.5418 Å).
Neutral-atom scattering factors, no anomalous dispersion.

Largest 8 diffraction maxima, low angle first, 10° ≤ 2θ ≤ 90°:
two_theta  intensity
19.1  310
38.2  284
38.8  1000
41.1  260
41.9  568
42.3  259
62.6  251
68.8  291

Structure:
```
12
Lattice="2.7307 1.5766 8.7883 -2.7307 1.5766 8.7883 0.0000 -3.1531 8.7883" Properties=species:S:1:pos:R:3 pbc="T T T"
Sr 0.0000 0.0000 0.0000
Er 0.0000 0.0000 3.6988
Er 0.0000 0.0000 22.6660
Pt -1.3869 -0.8007 11.0611
Pt 0.0000 0.0000 8.7642
Pt 0.0000 -1.6015 15.3037
Pt -1.3869 0.8007 15.3037
Pt 0.0000 0.0000 13.1824
Pt 1.3869 -0.8007 11.0611
Pt 0.0000 1.6015 11.0611
Pt 0.0000 0.0000 17.6006
Pt 1.3869 0.8007 15.3037
```